(1)
The following is a theoretical powder XRD pattern of Li4TiV3O10. It was derived from the PBE+U geometry in the Materials Project, using Cu Kα, 1.54184 Å.
Lines closer than 0.1° are merged.

Main lines, low angle first (10 to 90 degrees two-theta):
2θ/deg, intensity
19.30, 67.4
23.44, 39.1
26.54, 100.0
33.02, 89.0
41.50, 15.0
42.86, 21.5
45.03, 14.3
54.66, 29.8
55.63, 23.2
65.36, 20.6

Atomic structure:
Unit cell a=6.717 b=6.717 c=4.600 alpha=90.00 beta=90.00 gamma=90.00
Sites, in units of the cell vectors:
Li: 0.249 0.249 0.000
Li: 0.249 0.751 0.000
Li: 0.751 0.249 0.000
Li: 0.751 0.751 0.000
Ti: 0.500 0.500 0.500
V: 0.000 0.000 0.500
V: 0.000 0.500 0.398
V: 0.500 0.000 0.602
O: 0.000 0.219 0.268
O: 0.000 0.500 0.765
O: 0.000 0.781 0.268
O: 0.219 0.000 0.732
O: 0.280 0.500 0.264
O: 0.500 0.000 0.235
O: 0.500 0.280 0.736
O: 0.500 0.720 0.736
O: 0.720 0.500 0.264
O: 0.781 0.000 0.732



(2)
The following is a theoretical powder XRD pattern of Li3Ti3VO8. It was derived from the PBE+U geometry in the Materials Project, using Cu Kα, 1.54184 Å.
Lines closer than 0.1° are merged.

Main lines, low angle first (10 to 90 degrees two-theta):
2θ/deg, intensity
17.87, 100.0
35.55, 35.3
42.84, 76.7
46.77, 10.8
56.19, 13.8
61.58, 20.4
62.82, 20.3
65.88, 12.6
79.05, 9.1
80.18, 5.0

Atomic structure:
Unit cell a=10.308 b=10.308 c=10.502 alpha=100.70 beta=100.70 gamma=33.37
Sites, in units of the cell vectors:
Li: 0.000 0.000 0.000
Li: 0.123 0.627 0.374
Li: 0.124 0.627 0.877
Li: 0.249 0.249 0.751
Li: 0.373 0.876 0.123
Li: 0.373 0.877 0.626
Li: 0.500 0.500 0.500
Li: 0.627 0.123 0.374
Li: 0.627 0.124 0.877
Li: 0.751 0.751 0.249
Li: 0.876 0.373 0.123
Li: 0.877 0.373 0.626
Ti: 0.000 0.500 0.000
Ti: 0.000 0.500 0.500
Ti: 0.123 0.123 0.375
Ti: 0.246 0.751 0.248
Ti: 0.249 0.754 0.752
Ti: 0.376 0.376 0.127
Ti: 0.500 0.000 0.000
Ti: 0.500 0.000 0.500
Ti: 0.624 0.624 0.873
Ti: 0.751 0.246 0.248
Ti: 0.754 0.249 0.752
Ti: 0.877 0.877 0.625
V: 0.124 0.124 0.874
V: 0.375 0.375 0.625
V: 0.625 0.625 0.375
V: 0.876 0.876 0.126
O: 0.058 0.058 0.694
O: 0.061 0.061 0.193
O: 0.064 0.566 0.673
O: 0.070 0.557 0.174
O: 0.185 0.685 0.575
O: 0.189 0.189 0.556
O: 0.192 0.192 0.052
O: 0.194 0.678 0.073
O: 0.309 0.309 0.450
O: 0.311 0.311 0.946
O: 0.315 0.815 0.425
O: 0.322 0.806 0.927
O: 0.434 0.936 0.327
O: 0.438 0.438 0.306
O: 0.440 0.440 0.798
O: 0.443 0.930 0.826
O: 0.557 0.070 0.174
O: 0.560 0.560 0.202
O: 0.562 0.562 0.694
O: 0.566 0.064 0.673
O: 0.678 0.194 0.073
O: 0.685 0.185 0.575
O: 0.689 0.689 0.054
O: 0.691 0.691 0.550
O: 0.806 0.322 0.927
O: 0.808 0.808 0.948
O: 0.811 0.811 0.444
O: 0.815 0.315 0.425
O: 0.930 0.443 0.826
O: 0.936 0.434 0.327
O: 0.939 0.939 0.807
O: 0.942 0.942 0.306



(3)
The following is a theoretical powder XRD pattern of Li2TiV3O8. It was derived from the PBE+U geometry in the Materials Project, using Cu Kα, 1.54184 Å.
Lines closer than 0.1° are merged.

Main lines, low angle first (10 to 90 degrees two-theta):
2θ/deg, intensity
18.05, 100.0
18.18, 86.3
34.77, 20.4
34.86, 15.6
35.13, 13.9
35.34, 14.6
42.13, 38.1
42.54, 36.2
43.23, 34.4
61.94, 31.3

Atomic structure:
Unit cell a=5.934 b=5.990 c=10.366 alpha=74.35 beta=74.18 gamma=60.77
Sites, in units of the cell vectors:
Li: 0.180 0.200 0.437
Li: 0.317 0.301 0.062
Li: 0.683 0.699 0.938
Li: 0.820 0.800 0.563
Ti: 0.275 0.236 0.742
Ti: 0.725 0.764 0.258
V: 0.000 0.000 0.000
V: 0.246 0.740 0.243
V: 0.246 0.750 0.749
V: 0.500 0.500 0.500
V: 0.754 0.250 0.251
V: 0.754 0.260 0.757
O: 0.112 0.647 0.137
O: 0.113 0.097 0.134
O: 0.113 0.130 0.643
O: 0.158 0.591 0.633
O: 0.342 0.905 0.867
O: 0.385 0.853 0.363
O: 0.386 0.371 0.856
O: 0.390 0.400 0.365
O: 0.610 0.600 0.635
O: 0.614 0.629 0.144
O: 0.615 0.147 0.637
O: 0.658 0.095 0.133
O: 0.842 0.409 0.367
O: 0.887 0.870 0.357
O: 0.887 0.903 0.866
O: 0.888 0.353 0.863